The following is a simulated powder X-ray diffraction pattern of PmInB12. It was derived from a cell relaxed with PBE, using Cu Kα X-rays.
Neutral-atom scattering factors, no anomalous dispersion.

Main lines, by angle (15° ≤ 2θ ≤ 90°):
Position (°2θ)	I (rel.)	h k l
21.2	60	2 0 0
30.2	100	2 2 0
37.2	42	2 2 2
43.2	21	4 0 0
48.6	49	4 2 0
53.6	26	4 2 2
62.7	10	4 4 0
67.0	28	4 4 2
71.2	20	6 2 0
75.3	12	6 2 2
83.2	8	6 4 0
87.1	17	6 4 2

Cell and atoms:
Unit cell a=8.376 b=8.376 c=8.376 alpha=90.00 beta=90.00 gamma=90.00
Space group Fm-3m (No. 225)
Symmetry-distinct sites (fractional):
Pm 0.000 0.000 0.000 (multiplicity 4)
In 0.000 0.000 0.500 (multiplicity 4)
B 0.101 0.250 0.250 (multiplicity 48)